This entry pairs a crystal structure of Y4SbAu with its calculated X-ray powder pattern. Radiation: Cu Kα. Structure: a GGA-PBE-relaxed structure.
Peak positions follow from Bragg's law for the DFT cell and can differ from measured ones.

Crystal structure
```
Y4SbAu
1.0
8.3293 0.0000 0.0000
0.0000 4.1231 0.0000
0.0000 0.0000 19.3741
Y Sb Au
16 4 4
Cartesian
0.1261 1.0308 1.3645
0.1889 1.0308 15.1705
1.0825 1.0308 10.8496
1.2590 1.0308 6.7191
2.9056 3.0924 16.4061
3.0821 3.0924 1.1625
3.9758 3.0924 5.4834
4.0386 3.0924 11.0516
4.2907 1.0308 8.3226
4.3535 1.0308 13.8907
5.2472 1.0308 18.2117
5.4237 1.0308 2.9680
7.0703 3.0924 12.6551
7.2468 3.0924 8.5246
8.1405 3.0924 4.2036
8.2032 3.0924 18.0096
1.8687 3.0924 13.3367
2.2960 1.0308 3.6496
6.0333 3.0924 15.7245
6.4606 1.0308 6.0375
2.0587 1.0308 18.3674
2.1059 3.0924 8.6803
6.2234 1.0308 10.6938
6.2706 3.0924 1.0067
```

Peak list (6 most intense, 5° ≤ 2θ ≤ 70°, most intense first)
d 2.669, 2θ = 33.58°, I = 100
d 2.936, 2θ = 30.44°, I = 78
d 2.824, 2θ = 31.69°, I = 60
d 2.409, 2θ = 37.33°, I = 45
d 2.337, 2θ = 38.52°, I = 42
d 2.062, 2θ = 43.92°, I = 37